[1]
This entry pairs a crystal structure of InRuO4 with its calculated X-ray powder pattern. Radiation: Cu Ka. Structure: a cell relaxed with PBE.
Neutral-atom scattering factors, no anomalous dispersion.

Crystal structure
```
data_InRuO4
_symmetry_space_group_name_H-M 'I -4 m 2'
_symmetry_Int_Tables_number 119
_symmetry_space_group_name_Hall 'I -4 -2'
_cell_length_a 3.766
_cell_length_b 3.766
_cell_length_c 11.864
_cell_angle_alpha 90.00
_cell_angle_beta 90.00
_cell_angle_gamma 90.00
loop_
_atom_site_label
_atom_site_type_symbol
_atom_site_fract_x
_atom_site_fract_y
_atom_site_fract_z
In1 In 0.000 0.000 0.000
Ru1 Ru 0.000 0.500 0.250
O1 O 0.000 0.000 0.241
O2 O 0.000 0.500 0.077
```

Top 6 peaks for 10° ≤ 2θ ≤ 80°, by intensity:
(hkl), d [Å], 2θ/deg, I/Imax
1 0 1, 3.589, 24.8, 100
1 1 2, 2.429, 37.0, 35
2 0 4, 1.589, 58.1, 33
0 0 4, 2.966, 30.1, 31
1 0 3, 2.727, 32.8, 29
2 0 0, 1.883, 48.3, 22


[2]
This entry pairs a crystal structure of SrNdInCu with its calculated X-ray powder pattern. Radiation: Cu Ka. Structure: a cell relaxed with PBE.
Neutral-atom scattering factors, no anomalous dispersion.

Crystal structure
```
data_SrNdInCu
_symmetry_space_group_name_H-M 'F -4 3 m'
_symmetry_Int_Tables_number 216
_symmetry_space_group_name_Hall 'F -4 2 3'
_cell_length_a 7.686
_cell_length_b 7.686
_cell_length_c 7.686
_cell_angle_alpha 90.00
_cell_angle_beta 90.00
_cell_angle_gamma 90.00
loop_
_atom_site_label
_atom_site_type_symbol
_atom_site_fract_x
_atom_site_fract_y
_atom_site_fract_z
Sr1 Sr 0.000 0.000 0.000
Nd1 Nd 0.000 0.000 0.500
In1 In 0.250 0.250 0.750
Cu1 Cu 0.250 0.250 0.250
```

Top 6 peaks for 10° ≤ 2θ ≤ 80°, by intensity:
(hkl), d [Å], 2θ/deg, I/Imax
2 2 0, 2.717, 33.0, 100
4 2 2, 1.569, 58.9, 37
4 0 0, 1.921, 47.3, 18
6 2 0, 1.215, 78.7, 15
4 4 0, 1.359, 69.1, 11
1 1 1, 4.438, 20.0, 7


[3]
This entry pairs a crystal structure of MgBeB14 with its calculated X-ray powder pattern. Radiation: Cu Ka. Structure: a cell relaxed with PBE.
Neutral-atom scattering factors, no anomalous dispersion.

Crystal structure
```
data_MgBeB14
_symmetry_space_group_name_H-M 'I m m a'
_symmetry_Int_Tables_number 74
_symmetry_space_group_name_Hall '-I 2b 2'
_cell_length_a 5.778
_cell_length_b 10.181
_cell_length_c 8.110
_cell_angle_alpha 90.00
_cell_angle_beta 90.00
_cell_angle_gamma 90.00
loop_
_atom_site_label
_atom_site_type_symbol
_atom_site_fract_x
_atom_site_fract_y
_atom_site_fract_z
Mg1 Mg 0.000 0.250 0.137
Be1 Be 0.250 0.250 0.750
B1 B 0.000 0.088 0.672
B2 B 0.000 0.156 0.871
B3 B 0.000 0.166 0.472
B4 B 0.160 0.063 0.338
B5 B 0.248 0.081 0.953
```

Top 6 peaks for 10° ≤ 2θ ≤ 80°, by intensity:
(hkl), d [Å], 2θ/deg, I/Imax
1 2 3, 2.207, 40.9, 100
2 2 0, 2.513, 35.7, 80
1 2 1, 3.456, 25.8, 76
2 3 1, 2.123, 42.6, 60
1 3 2, 2.373, 37.9, 43
3 5 2, 1.323, 71.3, 33


[4]
This entry pairs a crystal structure of Dy7Y2Tm with its calculated X-ray powder pattern. Radiation: Cu Ka. Structure: a cell relaxed with PBE.
Neutral-atom scattering factors, no anomalous dispersion.

Crystal structure
```
data_Dy7Y2Tm
_symmetry_space_group_name_H-M 'P -1'
_symmetry_Int_Tables_number 2
_cell_length_a 6.129
_cell_length_b 6.138
_cell_length_c 9.370
_cell_angle_alpha 102.59
_cell_angle_beta 108.97
_cell_angle_gamma 99.68
loop_
_symmetry_equiv_pos_as_xyz
'x,y,z'
'-x,-y,-z'
loop_
_atom_site_label
_atom_site_type_symbol
_atom_site_fract_x
_atom_site_fract_y
_atom_site_fract_z
Dy1 Dy 0.000 0.000 0.000
Dy2 Dy 0.199 0.000 0.400
Dy3 Dy 0.199 0.499 0.900
Dy4 Dy 0.400 0.500 0.301
Y1 Y 0.400 0.999 0.799
Tm1 Tm 0.000 0.500 0.500
```

Top 6 peaks for 10° ≤ 2θ ≤ 80°, by intensity:
(hkl), d [Å], 2θ/deg, I/Imax
1 0 2, 2.892, 30.9, 100
2 1 -1, 2.505, 35.9, 50
1 2 2, 1.772, 51.6, 30
3 1 1, 1.511, 61.3, 25
4 0 -2, 1.509, 61.4, 18
2 0 4, 1.447, 64.4, 6


[5]
This entry pairs a crystal structure of Pm6Nd2Ho with its calculated X-ray powder pattern. Radiation: Cu Ka. Structure: a cell relaxed with PBE.
Neutral-atom scattering factors, no anomalous dispersion.

Crystal structure
```
data_Pm6Nd2Ho
_symmetry_space_group_name_H-M 'C m m m'
_symmetry_Int_Tables_number 65
_symmetry_space_group_name_Hall '-C 2 2'
_cell_length_a 9.938
_cell_length_b 17.282
_cell_length_c 3.558
_cell_angle_alpha 90.00
_cell_angle_beta 90.00
_cell_angle_gamma 90.00
loop_
_atom_site_label
_atom_site_type_symbol
_atom_site_fract_x
_atom_site_fract_y
_atom_site_fract_z
Pm1 Pm 0.166 0.165 0.000
Pm2 Pm 0.169 0.500 0.000
Nd1 Nd 0.000 0.333 0.500
Ho1 Ho 0.000 0.000 0.500
```

Top 6 peaks for 10° ≤ 2θ ≤ 80°, by intensity:
(hkl), d [Å], 2θ/deg, I/Imax
3 3 0, 2.875, 31.1, 100
2 0 1, 2.895, 30.9, 91
3 9 0, 1.662, 55.3, 37
2 6 1, 2.040, 44.4, 34
3 3 2, 1.513, 61.3, 29
1 9 1, 1.666, 55.1, 12


[6]
This entry pairs a crystal structure of Ac2HgH with its calculated X-ray powder pattern. Radiation: Cu Ka. Structure: a cell relaxed with PBE.
Neutral-atom scattering factors, no anomalous dispersion.

Crystal structure
```
data_Ac2HgH
_symmetry_space_group_name_H-M 'P 1 21/c 1'
_symmetry_Int_Tables_number 14
_cell_length_a 7.427
_cell_length_b 8.449
_cell_length_c 7.624
_cell_angle_alpha 90.00
_cell_angle_beta 92.16
_cell_angle_gamma 90.00
loop_
_symmetry_equiv_pos_as_xyz
'x,y,z'
'-x,-y,-z'
'-x,y+1/2,-z+1/2'
'x,-y+1/2,z+1/2'
loop_
_atom_site_label
_atom_site_type_symbol
_atom_site_fract_x
_atom_site_fract_y
_atom_site_fract_z
Ac1 Ac 0.085 0.111 0.242
Ac2 Ac 0.385 0.733 0.512
Hg1 Hg 0.317 0.060 0.724
H1 H 0.063 0.655 0.567
```

Top 6 peaks for 10° ≤ 2θ ≤ 80°, by intensity:
(hkl), d [Å], 2θ/deg, I/Imax
1 0 2, 3.335, 26.7, 100
0 2 2, 2.829, 31.6, 66
1 3 0, 2.633, 34.0, 57
2 1 0, 3.398, 26.2, 56
2 1 -1, 3.144, 28.4, 55
1 1 -2, 3.188, 28.0, 55


[7]
This entry pairs a crystal structure of Ba2TlSn2As4 with its calculated X-ray powder pattern. Radiation: Cu Ka. Structure: a cell relaxed with PBE.
Neutral-atom scattering factors, no anomalous dispersion.

Crystal structure
```
data_Ba2TlSn2As4
_symmetry_space_group_name_H-M 'C 1 2/m 1'
_symmetry_Int_Tables_number 12
_cell_length_a 16.475
_cell_length_b 5.069
_cell_length_c 7.076
_cell_angle_alpha 90.00
_cell_angle_beta 108.87
_cell_angle_gamma 90.00
loop_
_symmetry_equiv_pos_as_xyz
'x,y,z'
'-x,-y,-z'
'-x,y,-z'
'x,-y,z'
'x+1/2,y+1/2,z'
'-x+1/2,-y+1/2,-z'
'-x+1/2,y+1/2,-z'
'x+1/2,-y+1/2,z'
loop_
_atom_site_label
_atom_site_type_symbol
_atom_site_fract_x
_atom_site_fract_y
_atom_site_fract_z
Ba1 Ba 0.134 0.000 0.070
Tl1 Tl 0.000 0.000 0.500
Sn1 Sn 0.160 0.500 0.504
As1 As 0.002 0.500 0.180
As2 As 0.214 0.000 0.687
```

Top 6 peaks for 10° ≤ 2θ ≤ 80°, by intensity:
(hkl), d [Å], 2θ/deg, I/Imax
3 1 1, 2.925, 30.6, 100
3 1 -1, 3.543, 25.1, 57
0 2 0, 2.534, 35.4, 50
5 1 -1, 2.741, 32.7, 49
1 1 -2, 2.888, 31.0, 35
3 1 -2, 2.795, 32.0, 31


[8]
This entry pairs a crystal structure of Pu2Mg2Co15 with its calculated X-ray powder pattern. Radiation: Cu Ka. Structure: a cell relaxed with PBE.
Neutral-atom scattering factors, no anomalous dispersion.

Crystal structure
```
data_Pu2Mg2Co15
_symmetry_space_group_name_H-M 'R -3 m'
_symmetry_Int_Tables_number 166
_symmetry_space_group_name_Hall '-R 3 2"'
_cell_length_a 8.3960
_cell_length_b 8.3960
_cell_length_c 12.2139
_cell_angle_alpha 90.00
_cell_angle_beta 90.00
_cell_angle_gamma 120.00
loop_
_atom_site_label
_atom_site_type_symbol
_atom_site_fract_x
_atom_site_fract_y
_atom_site_fract_z
Pu1 Pu 0.0000 0.0000 0.1468
Mg1 Mg 0.0000 0.0000 0.3949
Co1 Co 0.0000 0.2965 0.5000
Co2 Co 0.0000 0.5000 0.0000
Co3 Co 0.0066 0.5033 0.6503
```

Top 6 peaks for 10° ≤ 2θ ≤ 80°, by intensity:
(hkl), d [Å], 2θ/deg, I/Imax
0 3 3, 2.083, 43.5, 100
1 1 3, 2.923, 30.6, 55
2 2 0, 2.099, 43.1, 52
3 0 0, 2.424, 37.1, 40
1 0 1, 6.248, 14.2, 39
0 2 4, 2.338, 38.5, 35


[9]
This entry pairs a crystal structure of Dy2Ho12Tm5 with its calculated X-ray powder pattern. Radiation: Cu Ka. Structure: a cell relaxed with PBE.
Neutral-atom scattering factors, no anomalous dispersion.

Crystal structure
```
data_Dy2Ho12Tm5
_symmetry_space_group_name_H-M 'C 1 2/m 1'
_symmetry_Int_Tables_number 12
_cell_length_a 15.596
_cell_length_b 9.092
_cell_length_c 8.413
_cell_angle_alpha 90.00
_cell_angle_beta 90.91
_cell_angle_gamma 90.00
loop_
_symmetry_equiv_pos_as_xyz
'x,y,z'
'-x,-y,-z'
'-x,y,-z'
'x,-y,z'
'x+1/2,y+1/2,z'
'-x+1/2,-y+1/2,-z'
'-x+1/2,y+1/2,-z'
'x+1/2,-y+1/2,z'
loop_
_atom_site_label
_atom_site_type_symbol
_atom_site_fract_x
_atom_site_fract_y
_atom_site_fract_z
Dy1 Dy 0.000 0.179 0.000
Ho1 Ho 0.058 0.000 0.334
Ho2 Ho 0.093 0.500 0.885
Ho3 Ho 0.127 0.193 0.660
Ho4 Ho 0.156 0.318 0.243
Tm1 Tm 0.000 0.500 0.500
Tm2 Tm 0.197 0.000 0.010
Tm3 Tm 0.232 0.500 0.575
```

Top 6 peaks for 10° ≤ 2θ ≤ 80°, by intensity:
(hkl), d [Å], 2θ/deg, I/Imax
1 3 1, 2.804, 31.9, 100
5 1 -1, 2.797, 32.0, 98
2 2 -2, 2.882, 31.0, 77
1 1 -3, 2.648, 33.9, 74
4 0 2, 2.837, 31.5, 60
3 3 1, 2.494, 36.0, 51


[10]
This entry pairs a crystal structure of Li2CeInSe4 with its calculated X-ray powder pattern. Radiation: Cu Ka. Structure: a cell relaxed with PBE.
Neutral-atom scattering factors, no anomalous dispersion.

Crystal structure
```
data_Li2CeInSe4
_symmetry_space_group_name_H-M 'I -4 m 2'
_symmetry_Int_Tables_number 119
_symmetry_space_group_name_Hall 'I -4 -2'
_cell_length_a 5.726
_cell_length_b 5.726
_cell_length_c 11.640
_cell_angle_alpha 90.00
_cell_angle_beta 90.00
_cell_angle_gamma 90.00
loop_
_atom_site_label
_atom_site_type_symbol
_atom_site_fract_x
_atom_site_fract_y
_atom_site_fract_z
Li1 Li 0.000 0.000 0.000
Li2 Li 0.000 0.500 0.250
Ce1 Ce 0.000 0.500 0.750
In1 In 0.000 0.000 0.500
Se1 Se 0.000 0.000 0.246
Se2 Se 0.000 0.500 0.000
```

Top 6 peaks for 10° ≤ 2θ ≤ 80°, by intensity:
(hkl), d [Å], 2θ/deg, I/Imax
2 0 0, 2.863, 31.2, 100
2 0 4, 2.041, 44.4, 75
1 0 1, 5.138, 17.3, 73
0 0 4, 2.910, 30.7, 52
2 2 4, 1.662, 55.3, 39
2 2 0, 2.024, 44.8, 36


[11]
This entry pairs a crystal structure of Hf6Ga2P with its calculated X-ray powder pattern. Radiation: Cu Ka. Structure: a cell relaxed with PBE.
Neutral-atom scattering factors, no anomalous dispersion.

Crystal structure
```
data_Hf6Ga2P
_symmetry_space_group_name_H-M 'P 1 21/c 1'
_symmetry_Int_Tables_number 14
_cell_length_a 5.654
_cell_length_b 7.203
_cell_length_c 10.515
_cell_angle_alpha 90.00
_cell_angle_beta 122.47
_cell_angle_gamma 90.00
loop_
_symmetry_equiv_pos_as_xyz
'x,y,z'
'-x,-y,-z'
'-x,y+1/2,-z+1/2'
'x,-y+1/2,z+1/2'
loop_
_atom_site_label
_atom_site_type_symbol
_atom_site_fract_x
_atom_site_fract_y
_atom_site_fract_z
Hf1 Hf 0.086 0.170 0.447
Hf2 Hf 0.321 0.688 0.448
Hf3 Hf 0.405 0.032 0.273
Ga1 Ga 0.165 0.117 0.753
P1 P 0.000 0.000 0.000
```

Top 6 peaks for 10° ≤ 2θ ≤ 80°, by intensity:
(hkl), d [Å], 2θ/deg, I/Imax
2 1 -3, 2.523, 35.6, 100
0 2 2, 2.796, 32.0, 94
1 2 1, 2.506, 35.8, 82
1 1 -4, 2.462, 36.5, 75
2 1 -2, 2.632, 34.1, 72
1 0 2, 2.621, 34.2, 70


[12]
This entry pairs a crystal structure of NdTmCdOs with its calculated X-ray powder pattern. Radiation: Cu Ka. Structure: a cell relaxed with PBE.
Neutral-atom scattering factors, no anomalous dispersion.

Crystal structure
```
data_NdTmCdOs
_symmetry_space_group_name_H-M 'F -4 3 m'
_symmetry_Int_Tables_number 216
_symmetry_space_group_name_Hall 'F -4 2 3'
_cell_length_a 7.169
_cell_length_b 7.169
_cell_length_c 7.169
_cell_angle_alpha 90.00
_cell_angle_beta 90.00
_cell_angle_gamma 90.00
loop_
_atom_site_label
_atom_site_type_symbol
_atom_site_fract_x
_atom_site_fract_y
_atom_site_fract_z
Nd1 Nd 0.000 0.000 0.000
Tm1 Tm 0.000 0.000 0.500
Cd1 Cd 0.250 0.250 0.750
Os1 Os 0.250 0.250 0.250
```

Top 6 peaks for 10° ≤ 2θ ≤ 80°, by intensity:
(hkl), d [Å], 2θ/deg, I/Imax
2 2 0, 2.534, 35.4, 100
4 2 2, 1.463, 63.6, 36
4 0 0, 1.792, 51.0, 18
4 4 0, 1.267, 74.9, 11
1 1 1, 4.139, 21.5, 3
3 1 1, 2.161, 41.8, 2